[1]
The following is a theoretical PXRD pattern of Ga3Ag3Sb. It was derived from a DFT-relaxed cell (PBE, Alexandria), using CuKα.

```
Ga3Ag3Sb
1.0
7.2067 0.0000 0.0000
0.0000 7.2067 0.0000
0.0000 0.0000 7.2067
Ga Ag Sb
6 6 2
direct
0.0000 0.2500 0.5000
0.0000 0.7500 0.5000
0.2500 0.5000 0.0000
0.5000 0.0000 0.2500
0.5000 0.0000 0.7500
0.7500 0.5000 0.0000
0.0000 0.5000 0.2500
0.0000 0.5000 0.7500
0.2500 0.0000 0.5000
0.5000 0.2500 0.0000
0.5000 0.7500 0.0000
0.7500 0.0000 0.5000
0.0000 0.0000 0.0000
0.5000 0.5000 0.5000
```

Most intense lines, 15 to 90 degrees two-theta, in order of rising 2θ:
| 2θ (°) | d (Å) | I_rel |
| --- | --- | --- |
| 24.7 | 3.603 | 42 |
| 30.4 | 2.942 | 100 |
| 43.5 | 2.080 | 25 |
| 47.2 | 1.926 | 58 |
| 50.7 | 1.802 | 28 |
| 57.2 | 1.611 | 16 |
| 60.2 | 1.536 | 14 |
| 71.7 | 1.316 | 16 |
| 74.5 | 1.274 | 17 |
| 82.5 | 1.169 | 16 |



[2]
The following is a theoretical PXRD pattern of Er2Zn15Au2. It was derived from a DFT-relaxed cell (PBE, Alexandria), using CuKα.

```
Er2Zn15Au2
1.0
4.5143 2.6063 4.3971
-4.5143 2.6063 4.3971
0.0000 -5.2127 4.3971
Er Zn Au
2 15 2
direct
0.1601 0.1601 0.1601
0.8399 0.8399 0.8399
0.0000 0.5000 0.5000
0.1456 0.1456 0.6644
0.1456 0.6644 0.1456
0.2021 0.5000 0.7979
0.2021 0.7979 0.5000
0.3356 0.8544 0.8544
0.5000 0.0000 0.5000
0.5000 0.2021 0.7979
0.5000 0.5000 0.0000
0.5000 0.7979 0.2021
0.6644 0.1456 0.1456
0.7979 0.2021 0.5000
0.7979 0.5000 0.2021
0.8544 0.3356 0.8544
0.8544 0.8544 0.3356
0.3883 0.3883 0.3883
0.6117 0.6117 0.6117
```

Most intense lines, 15 to 90 degrees two-theta, in order of rising 2θ:
| 2θ (°) | d (Å) | I_rel |
| --- | --- | --- |
| 19.7 | 4.514 | 40 |
| 29.4 | 3.039 | 36 |
| 34.4 | 2.606 | 83 |
| 35.6 | 2.521 | 62 |
| 39.9 | 2.257 | 100 |
| 40.2 | 2.242 | 70 |
| 41.0 | 2.200 | 80 |
| 41.3 | 2.187 | 37 |
| 45.2 | 2.008 | 46 |
| 74.2 | 1.278 | 35 |